1.
The following is a theoretical powder diffraction line list of TlCd4In. It was derived from DFT lattice parameters and positions (GGA-PBE), using Cu Kα (weighted mean of Kα1 and Kα2).
Neutral-atom scattering factors, no anomalous dispersion.

Top 10 peaks for 2θ = 10–90°, sorted by position:
h k l	2θ/deg	d [Å]	Rel. int.
1 1 1	32.79	2.731	100
0 1 3	35.10	2.557	56
0 2 0	35.35	2.539	27
1 0 4	48.68	1.870	11
1 2 2	48.94	1.861	21
1 1 5	61.42	1.509	10
1 2 4	61.59	1.506	11
1 3 1	61.86	1.500	11
0 3 3	63.30	1.469	10
2 1 3	64.89	1.437	18

Structure:
Unit cell a=3.4748 b=5.0781 c=8.8768 alpha=90.00 beta=90.00 gamma=90.00
Space group Pmmm (No. 47)
Symmetry-distinct sites (fractional):
Tl1 0.0000 0.0000 0.0000 [1 per cell]
Cd1 0.5000 0.0000 0.3371 [2 per cell]
Cd2 0.5000 0.5000 0.1692 [2 per cell]
In1 0.0000 0.5000 0.5000 [1 per cell]



2.
The following is a theoretical powder diffraction line list of Cd2AgHg5. It was derived from DFT lattice parameters and positions (GGA-PBE), using Cu Kα (weighted mean of Kα1 and Kα2).
Neutral-atom scattering factors, no anomalous dispersion.

Top 10 peaks for 2θ = 10–90°, sorted by position:
h k l	2θ/deg	d [Å]	Rel. int.
1 4 0	31.55	2.835	100
1 4 -1	31.88	2.807	39
1 2 1	32.76	2.733	34
1 2 -2	33.73	2.658	45
2 0 -1	34.57	2.595	78
1 3 1	35.77	2.510	30
0 2 2	36.31	2.474	39
1 3 -2	36.66	2.451	39
1 5 0	36.97	2.432	31
1 5 -1	37.26	2.413	26

Structure:
Unit cell a=5.1926 b=14.1790 c=5.8045 alpha=90.00 beta=114.52 gamma=90.00
Space group P2_1/m (No. 11)
Symmetry-distinct sites (fractional):
Cd1 0.1738 0.1442 0.4702 [4 per cell]
Ag1 0.3140 0.7500 0.4791 [2 per cell]
Hg1 0.0150 0.6066 0.0929 [4 per cell]
Hg2 0.3990 0.5400 0.7202 [4 per cell]
Hg3 0.4554 0.7500 0.0110 [2 per cell]



3.
The following is a theoretical powder diffraction line list of ReNiAs2. It was derived from DFT lattice parameters and positions (GGA-PBE), using Cu Kα (weighted mean of Kα1 and Kα2).
Neutral-atom scattering factors, no anomalous dispersion.

Top 10 peaks for 2θ = 10–90°, sorted by position:
h k l	2θ/deg	d [Å]	Rel. int.
0 0 1	17.11	5.181	25
0 0 2	34.63	2.591	22
1 1 0	37.74	2.384	100
0 1 2	42.87	2.110	50
1 0 2	45.28	2.003	43
0 2 0	50.20	1.817	22
1 1 2	52.15	1.754	27
2 0 0	58.47	1.579	14
1 2 2	69.89	1.346	23
2 1 2	75.17	1.264	19

Structure:
Unit cell a=3.1571 b=3.6348 c=5.1810 alpha=90.00 beta=90.00 gamma=90.00
Space group Pmm2 (No. 25)
Symmetry-distinct sites (fractional):
Re1 0.0000 0.0000 0.0000 [1 per cell]
Ni1 0.5000 0.5000 0.6625 [1 per cell]
As1 0.0000 0.0000 0.5300 [1 per cell]
As2 0.5000 0.5000 0.1717 [1 per cell]



4.
The following is a theoretical powder diffraction line list of Ta3AlP2. It was derived from DFT lattice parameters and positions (GGA-PBE), using Cu Kα (weighted mean of Kα1 and Kα2).
Neutral-atom scattering factors, no anomalous dispersion.

Top 10 peaks for 2θ = 10–90°, sorted by position:
h k l	2θ/deg	d [Å]	Rel. int.
0 0 6	28.50	3.132	32
1 0 1	29.56	3.022	60
1 0 2	30.71	2.911	39
1 0 4	34.98	2.565	100
1 0 5	37.90	2.374	72
1 1 0	51.70	1.768	49
1 0 9	53.09	1.725	20
1 0 10	57.54	1.602	20
1 1 6	60.10	1.540	25
2 0 4	63.95	1.456	18

Structure:
Unit cell a=3.5359 b=3.5359 c=18.7928 alpha=90.00 beta=90.00 gamma=120.00
Space group P6_3/mmc (No. 194)
Symmetry-distinct sites (fractional):
Ta1 0.0000 0.0000 0.0000 [2 per cell]
Ta2 0.3333 0.6667 0.1507 [4 per cell]
Al1 0.0000 0.0000 0.2500 [2 per cell]
P1 0.3333 0.6667 0.5790 [4 per cell]



5.
The following is a theoretical powder diffraction line list of TiAg2O2F2. It was derived from DFT lattice parameters and positions (GGA-PBE), using Cu Kα (weighted mean of Kα1 and Kα2).
Neutral-atom scattering factors, no anomalous dispersion.

Top 10 peaks for 2θ = 10–90°, sorted by position:
h k l	2θ/deg	d [Å]	Rel. int.
0 0 1	14.57	6.081	100
0 1 1	27.36	3.259	57
0 0 2	29.39	3.039	88
1 0 -1	30.96	2.888	61
1 -1 1	31.81	2.813	69
0 2 -1	36.07	2.490	54
1 1 0	39.50	2.281	48
1 -1 2	40.11	2.248	61
1 -2 0	40.47	2.229	42
2 -1 0	57.05	1.614	38

Structure:
Unit cell a=3.2283 b=5.2029 c=6.4238 alpha=107.53 beta=91.48 gamma=106.33
Space group P-1 (No. 2)
Symmetry-distinct sites (fractional):
Ti1 0.0000 0.0000 0.0000 [1 per cell]
Ag1 0.3332 0.7020 0.4219 [2 per cell]
O1 0.0999 0.1859 0.2954 [2 per cell]
F1 0.3934 0.7642 0.0387 [2 per cell]



6.
The following is a theoretical powder diffraction line list of AcTbDy3Er. It was derived from DFT lattice parameters and positions (GGA-PBE), using Cu Kα (weighted mean of Kα1 and Kα2).
Neutral-atom scattering factors, no anomalous dispersion.

Top 10 peaks for 2θ = 10–90°, sorted by position:
h k l	2θ/deg	d [Å]	Rel. int.
1 1 2	28.60	3.121	42
4 0 -2	29.47	3.031	31
5 1 -1	30.11	2.968	100
5 1 1	30.34	2.946	39
3 1 -2	31.31	2.857	35
3 1 2	31.57	2.834	93
0 2 0	31.88	2.807	92
7 1 0	35.96	2.497	47
8 0 1	38.92	2.314	26
5 3 -1	55.69	1.650	28

Structure:
Unit cell a=19.5206 b=5.6144 c=7.6595 alpha=90.00 beta=90.71 gamma=90.00
Space group C2/m (No. 12)
Symmetry-distinct sites (fractional):
Ac1 0.1378 0.0000 0.0227 [4 per cell]
Tb1 0.0537 0.5000 0.3076 [4 per cell]
Dy1 0.0249 0.0000 0.6976 [4 per cell]
Dy2 0.1646 0.5000 0.7056 [4 per cell]
Dy3 0.2211 0.5000 0.2480 [4 per cell]
Er1 0.1547 0.0000 0.4475 [4 per cell]



7.
The following is a theoretical powder diffraction line list of Tb7IrI12. It was derived from DFT lattice parameters and positions (GGA-PBE), using Cu Kα (weighted mean of Kα1 and Kα2).
Neutral-atom scattering factors, no anomalous dispersion.

Top 10 peaks for 2θ = 10–90°, sorted by position:
h k l	2θ/deg	d [Å]	Rel. int.
1 0 1	10.28	8.601	19
1 1 0	11.19	7.908	38
1 3 1	24.78	3.592	11
4 -1 2	28.51	3.130	100
1 3 4	40.36	2.234	36
5 2 0	41.16	2.193	35
2 6 2	50.84	1.796	19
8 -2 4	59.01	1.565	11
5 2 6	66.26	1.411	12
9 1 2	67.39	1.390	14

Structure:
Unit cell a=15.8151 b=15.8151 c=11.0523 alpha=90.00 beta=90.00 gamma=120.00
Space group R-3 (No. 148, hexagonal axes)
Symmetry-distinct sites (fractional):
Tb1 0.0000 0.0000 0.0000 [3 per cell]
Tb2 0.0425 0.8840 0.3631 [18 per cell]
Ir1 0.0000 0.0000 0.5000 [3 per cell]
I1 0.0188 0.4325 0.1563 [18 per cell]
I2 0.0481 0.8740 0.8368 [18 per cell]



8.
The following is a theoretical powder diffraction line list of Ce2CdSb. It was derived from DFT lattice parameters and positions (GGA-PBE), using Cu Kα (weighted mean of Kα1 and Kα2).
Neutral-atom scattering factors, no anomalous dispersion.

Top 10 peaks for 2θ = 10–90°, sorted by position:
h k l	2θ/deg	d [Å]	Rel. int.
1 1 0	31.02	2.883	67
1 0 2	34.46	2.603	100
2 0 0	44.43	2.039	25
2 1 2	57.41	1.605	45
1 1 4	63.82	1.459	16
2 2 0	64.65	1.442	8
2 0 4	72.65	1.301	11
3 1 0	73.43	1.289	11
3 0 2	75.36	1.261	10
2 2 4	89.29	1.097	6

Structure:
Unit cell a=4.0777 b=4.0777 c=6.7632 alpha=90.00 beta=90.00 gamma=90.00
Space group P4/mmm (No. 123)
Symmetry-distinct sites (fractional):
Ce1 0.0000 0.0000 0.2368 [2 per cell]
Cd1 0.5000 0.5000 0.5000 [1 per cell]
Sb1 0.5000 0.5000 0.0000 [1 per cell]



9.
The following is a theoretical powder diffraction line list of DyCrFe. It was derived from DFT lattice parameters and positions (GGA-PBE), using Cu Kα (weighted mean of Kα1 and Kα2).
Neutral-atom scattering factors, no anomalous dispersion.

Top 10 peaks for 2θ = 10–90°, sorted by position:
h k l	2θ/deg	d [Å]	Rel. int.
1 1 0	19.00	4.671	20
1 0 1	20.87	4.255	28
2 0 0	27.00	3.303	67
2 1 1	34.37	2.609	57
1 1 2	37.63	2.390	100
2 2 0	38.55	2.335	35
3 0 1	44.24	2.047	24
3 1 1	46.44	1.955	20
3 1 2	54.97	1.670	26
4 1 1	60.10	1.539	14

Structure:
Unit cell a=6.6051 b=6.6051 c=5.5642 alpha=90.00 beta=90.00 gamma=90.00
Space group P4_12_12 (No. 92)
Symmetry-distinct sites (fractional):
Dy1 0.2294 0.2294 0.0000 [4 per cell]
Cr1 0.0796 0.0796 0.5000 [4 per cell]
Fe1 0.1784 0.8216 0.7500 [4 per cell]



10.
The following is a theoretical powder diffraction line list of Tb3Tm5Sc2. It was derived from DFT lattice parameters and positions (GGA-PBE), using Cu Kα (weighted mean of Kα1 and Kα2).
Neutral-atom scattering factors, no anomalous dispersion.

Top 10 peaks for 2θ = 10–90°, sorted by position:
h k l	2θ/deg	d [Å]	Rel. int.
0 2 1	31.64	2.827	100
1 -1 3	36.68	2.450	34
2 2 -2	36.75	2.446	16
4 -4 2	52.85	1.732	24
1 -5 1	52.92	1.730	12
1 1 4	62.88	1.478	17
4 -6 1	63.00	1.476	24
0 4 2	66.07	1.414	9
7 -5 2	86.69	1.123	10
7 -7 1	89.57	1.094	8

Structure:
Unit cell a=9.1510 b=9.1567 c=9.1715 alpha=106.57 beta=106.55 gamma=115.40
Space group P-1 (No. 2)
Symmetry-distinct sites (fractional):
Tb1 0.0262 0.0773 0.3498 [2 per cell]
Tb2 0.1777 0.5258 0.4518 [2 per cell]
Tb3 0.2282 0.6769 0.1495 [2 per cell]
Tm1 0.0754 0.2262 0.0514 [2 per cell]
Tm2 0.1288 0.3777 0.7505 [2 per cell]
Tm3 0.3256 0.9769 0.5521 [2 per cell]
Tm4 0.3783 0.1285 0.2494 [2 per cell]
Tm5 0.4262 0.2748 0.9520 [2 per cell]
Sc1 0.2793 0.8288 0.8527 [2 per cell]
Sc2 0.4761 0.4260 0.6491 [2 per cell]



11.
The following is a theoretical powder diffraction line list of AcHo2In9. It was derived from DFT lattice parameters and positions (GGA-PBE), using Cu Kα (weighted mean of Kα1 and Kα2).
Neutral-atom scattering factors, no anomalous dispersion.

Top 10 peaks for 2θ = 10–90°, sorted by position:
h k l	2θ/deg	d [Å]	Rel. int.
1 0 0	18.69	4.747	3
1 1 3	32.77	2.733	100
2 0 0	37.90	2.374	34
0 0 6	38.24	2.353	15
2 2 0	54.69	1.678	12
2 0 6	54.94	1.671	21
3 1 3	65.23	1.430	27
1 1 9	65.69	1.421	11
2 2 6	68.69	1.366	11
4 0 0	81.02	1.187	4

Structure:
Unit cell a=4.7473 b=4.7473 c=14.1204 alpha=90.00 beta=90.00 gamma=90.00
Space group P4/mmm (No. 123)
Symmetry-distinct sites (fractional):
Ac1 0.0000 0.0000 0.0000 [1 per cell]
Ho1 0.0000 0.0000 0.3417 [2 per cell]
In1 0.0000 0.5000 0.1794 [4 per cell]
In2 0.0000 0.5000 0.5000 [2 per cell]
In3 0.5000 0.5000 0.0000 [1 per cell]
In4 0.5000 0.5000 0.3374 [2 per cell]